This entry pairs a crystal structure of Li9Fe4B8O24 with its computed powder diffractogram. Radiation: CuKα. Structure: DFT lattice parameters and positions (PBE+U).
Neutral-atom scattering factors, no anomalous dispersion.

Crystal structure
```
45
Lattice="8.3059 0.0000 0.0000 2.2353 8.0504 0.0000 3.2832 2.4872 7.8181" Properties=species:S:1:pos:R:3 pbc="T T T"
Li 0.0000 0.0000 0.0000
Li 3.5543 4.9070 6.5360
Li 4.5526 6.6219 4.2520
Li 3.8145 6.0336 1.4047
Li 4.4029 2.2611 2.4468
Li 8.8598 8.9370 6.5494
Li 8.6621 6.4316 7.7916
Li 7.4887 2.5749 4.0796
Li 9.6514 6.3220 2.4992
Fe 1.4734 3.1260 1.5515
Fe 7.4110 5.7220 5.0243
Fe 6.7760 7.1667 1.5256
Fe 10.4280 1.6842 5.0284
B 2.9240 4.2205 3.7381
B 6.1999 7.8864 6.5155
B 2.7096 1.0173 0.1469
B 5.9647 4.6758 2.7360
B 8.1341 8.2414 3.7954
B 9.1807 3.8162 6.3914
B 8.0224 5.0613 0.1626
B 11.3294 8.6149 2.7356
O 2.2427 4.5786 2.5598
O 3.7667 8.3448 3.8905
O 3.3607 5.1589 4.5891
O 5.3169 8.9743 6.4683
O 3.1559 2.8587 3.9464
O 4.8927 3.5863 7.1794
O 2.9626 2.0505 1.0454
O 6.0034 6.8550 5.5822
O 7.2292 7.8635 7.4022
O 5.5699 6.0216 2.5001
O 5.7709 7.9499 0.1293
O 5.5289 3.7037 1.9236
O 7.3593 8.5409 2.6757
O 6.7903 4.3983 3.8248
O 8.5550 9.1965 4.6344
O 8.3280 4.9145 6.4531
O 8.4839 6.8941 3.9868
O 10.1929 7.6269 7.2129
O 8.2828 6.0904 1.0758
O 8.9235 2.7785 5.4989
O 10.2982 3.7853 7.1523
O 8.7178 1.9091 2.5363
O 8.8558 3.9487 0.1205
O 11.0038 7.6105 1.8856
```

The 12 most intense peaks (10 to 90 degrees two-theta), sorted by position:
d [Å]  I/Imax  h k l
6.314  100  1 1 1
5.867  34  1 1 0
5.041  32  1 -1 0
4.233  27  -1 1 1
3.902  61  1 1 -1
3.812  55  2 0 0
3.275  37  2 0 2
3.093  49  0 2 -1
3.077  27  2 0 -1
2.934  76  2 2 0
2.543  50  2 0 3
2.521  21  2 -2 0

***

This entry pairs a crystal structure of LiFe2B2O6 with its computed powder diffractogram. Radiation: CuKα. Structure: DFT lattice parameters and positions (PBE+U).
Neutral-atom scattering factors, no anomalous dispersion.

Crystal structure
```
44
Lattice="5.2580 0.0000 0.0000 -2.5380 4.6273 0.0000 -0.2255 -0.5684 20.1133" Properties=species:S:1:pos:R:3 pbc="T T T"
Li 0.0000 0.0000 0.0000
Li -2.6777 4.1681 15.1860
Li 0.6267 1.1169 12.5017
Li 0.8504 1.1325 7.4669
Fe -0.1131 2.3959 19.7622
Fe -0.0745 2.8369 9.7066
Fe 0.6421 4.0430 17.4006
Fe 2.6000 1.3619 4.7016
Fe 0.9484 4.2634 7.1638
Fe 2.5231 1.0795 14.8091
Fe 3.2881 2.6822 12.2210
Fe 3.4831 2.8741 2.1930
B -0.0482 2.8979 4.6895
B -0.1389 2.6163 14.7106
B 0.8751 4.4720 2.1876
B 0.7657 4.2346 12.2855
B 2.4335 0.8533 19.8292
B 2.5747 1.2184 9.6807
B 3.5016 2.7649 7.2303
B 3.3762 2.5378 17.1855
O -2.3655 3.9735 7.2667
O -1.3801 2.7871 4.2537
O -1.5084 2.5986 14.3873
O -0.4208 2.6411 7.6661
O -0.6245 2.5620 17.7219
O 0.5975 1.4476 14.5906
O 0.7850 1.8320 4.7363
O 0.0023 3.4798 1.7993
O 1.0765 0.8187 19.8159
O 0.0925 3.0935 11.8169
O 1.2494 1.4970 9.5155
O 0.3919 4.1354 5.1285
O 0.4697 3.8089 15.0526
O 2.5488 0.7288 12.6964
O 3.0628 -0.0192 9.3114
O 2.8813 1.0543 2.6598
O 3.2046 -0.2570 19.4570
O 2.8488 1.6088 6.7718
O 2.9046 1.2848 16.6798
O 2.2267 4.3017 2.0587
O 3.3497 2.5664 0.1697
O 2.1274 4.2680 12.3660
O 3.4476 2.1621 10.1984
O 2.5930 3.6290 17.0192
```

The 12 most intense peaks (10 to 90 degrees two-theta), sorted by position:
d [Å]  I/Imax  h k l
4.617  39  1 0 0
4.533  69  1 -1 0
4.152  100  1 0 2
4.125  24  -1 1 2
3.453  29  0 1 -4
3.438  29  1 0 -4
3.358  42  1 0 4
2.683  25  1 1 0
2.638  28  1 -2 0
2.628  31  2 -1 0
2.514  80  0 0 8
1.827  29  1 0 10

***

This entry pairs a crystal structure of Li9Fe4B8O24 with its computed powder diffractogram. Radiation: CuKα. Structure: DFT lattice parameters and positions (PBE+U).
Neutral-atom scattering factors, no anomalous dispersion.

Crystal structure
```
45
Lattice="5.2544 0.0000 0.0000 0.0353 8.9532 0.0000 0.4624 -0.0013 9.9834" Properties=species:S:1:pos:R:3 pbc="T T T"
Li 0.0000 0.0000 0.0000
Li 5.4889 2.8330 4.8741
Li 1.9022 3.0119 2.6270
Li 2.1836 5.9220 7.4189
Li 2.7950 1.4589 5.0968
Li 3.0847 7.4979 9.8013
Li 4.4494 7.2390 2.1326
Li 4.7793 7.3352 7.5914
Li 4.5914 4.2947 2.4432
Fe 0.3303 5.8668 4.9937
Fe 1.7708 0.0481 2.5168
Fe 2.7317 4.4703 0.0316
Fe 4.6473 1.3926 7.4942
B 0.2724 8.8774 5.0787
B 1.8587 5.9765 2.4421
B 2.1670 8.9071 7.5718
B 2.8666 4.4452 4.9110
B 2.6465 1.4599 0.0633
B 4.7479 4.4073 7.4683
B 4.5284 1.3607 2.5851
B 5.2613 5.8704 0.0065
O 0.7940 8.9342 7.7927
O 0.5628 5.9057 2.9597
O 1.4436 0.1310 4.4454
O 1.8304 5.8598 9.7276
O 2.1417 3.3183 4.6941
O 1.9702 0.3266 0.5113
O 2.2308 5.6092 5.3271
O 2.1366 2.7005 0.3076
O 2.4943 7.1997 2.2941
O 2.7337 1.1256 7.1341
O 2.5297 4.8236 2.0501
O 2.8891 7.7833 7.8163
O 3.1547 1.3945 2.8066
O 3.5307 4.6118 8.0876
O 4.3124 1.2586 9.4033
O 4.2399 4.4773 4.6980
O 5.0174 7.0391 9.9596
O 4.8234 1.0661 5.5156
O 4.6507 4.6734 0.3537
O 4.9893 7.6399 5.2899
O 5.2511 3.1642 7.2198
O 5.0820 0.1371 2.1717
O 5.4292 5.5415 7.0393
O 5.2900 2.4564 2.8052
```

The 12 most intense peaks (10 to 90 degrees two-theta), sorted by position:
d [Å]  I/Imax  h k l
4.737  100  1 0 1
4.528  26  1 -1 0
4.477  61  0 2 0
4.360  93  0 1 -2
3.423  39  1 1 2
3.289  24  -1 1 2
2.859  24  0 3 1
2.624  24  2 0 0
2.599  32  1 3 0
2.590  33  1 -3 0
2.496  77  0 0 4
1.705  20  3 -1 1

***

This entry pairs a crystal structure of LiFe2B2O6 with its computed powder diffractogram. Radiation: CuKα. Structure: DFT lattice parameters and positions (PBE+U).
Neutral-atom scattering factors, no anomalous dispersion.

Crystal structure
```
44
Lattice="5.2486 0.0000 0.0000 -0.0087 9.1414 0.0000 -2.6125 -4.3682 10.0976" Properties=species:S:1:pos:R:3 pbc="T T T"
Li 0.0000 0.0000 0.0000
Li -1.6395 3.4032 7.5185
Li 0.2002 0.1149 4.9517
Li 2.6376 4.5393 0.0311
Fe -0.0167 3.0839 0.3104
Fe -1.6867 -2.6848 7.8299
Fe 0.1857 6.2159 5.3295
Fe 0.9676 4.7059 2.8790
Fe 2.6210 7.5914 0.3651
Fe 0.9759 1.7511 7.8418
Fe 2.7911 1.8239 5.2116
Fe 3.5215 0.1611 2.7937
B 0.0562 6.1493 0.2596
B -1.6763 0.3045 7.9289
B 0.1033 3.1910 5.3880
B 0.9310 1.7090 2.8130
B 2.6663 1.5751 0.2571
B 0.9320 4.7884 7.8830
B 2.7337 -1.2809 5.3523
B 3.6043 6.2180 2.8231
O -1.2308 3.2861 5.5962
O -0.3167 6.1197 3.2216
O 0.6643 7.3702 0.1926
O 0.1124 0.6248 2.9863
O 0.7376 5.0151 0.7077
O 0.4356 2.9122 2.3551
O -1.2833 -2.9229 9.9098
O -0.3205 0.4096 8.0729
O 0.1271 5.8175 7.4602
O 0.8507 4.2402 4.8616
O 0.7860 1.9965 5.7853
O 0.3078 3.5631 8.1930
O 1.3839 -1.3181 5.3003
O 2.2794 1.6034 3.1330
O 3.2876 2.7728 0.2389
O 2.7880 5.1345 2.7662
O 3.3493 0.4152 0.7071
O 3.1239 7.4639 2.4030
O 1.3509 1.6539 9.9171
O 2.3014 4.9209 8.0326
O 3.4666 -0.1672 4.8628
O 2.8470 1.4199 7.4995
O 3.4865 -2.3251 5.9009
O 2.9415 -0.8825 8.2611
```

The 12 most intense peaks (10 to 90 degrees two-theta), sorted by position:
d [Å]  I/Imax  h k l
4.554  98  1 1 -1
4.165  26  1 1 0
4.134  100  1 -1 1
3.422  30  0 2 1
3.397  33  -1 1 2
3.360  44  0 2 -3
2.634  30  1 3 -2
2.624  29  2 0 -1
2.524  84  0 0 4
2.225  33  -2 2 1
1.839  28  1 -1 5
1.517  30  3 3 -3

***

This entry pairs a crystal structure of LiFe2B2O6 with its computed powder diffractogram. Radiation: CuKα. Structure: DFT lattice parameters and positions (PBE+U).
Neutral-atom scattering factors, no anomalous dispersion.

Crystal structure
```
44
Lattice="5.2499 0.0000 0.0000 0.0754 9.0870 0.0000 0.0086 0.1400 10.2030" Properties=species:S:1:pos:R:3 pbc="T T T"
Li 0.0000 0.0000 0.0000
Li 0.1633 9.1355 5.0099
Li 1.8121 3.1913 2.4379
Li 4.5824 7.7037 7.5524
Fe 0.0835 3.2565 9.7919
Fe 1.8874 6.1346 7.2599
Fe 1.8995 0.0551 2.1847
Fe 2.6843 1.6797 4.8189
Fe 2.7853 7.5570 9.8662
Fe 4.3969 4.7408 2.1629
Fe 4.5468 1.7070 7.2954
Fe 5.2953 6.0729 4.6643
B 0.0923 3.0859 4.6314
B 0.1783 6.2188 9.7307
B 1.8043 6.1231 2.2282
B 1.9467 9.1329 7.2181
B 2.6913 7.6722 4.7298
B 2.6821 1.6488 9.8674
B 4.4795 4.7109 7.2803
B 4.5056 1.6130 2.0731
O 0.0161 0.4586 2.0673
O 0.5086 6.1949 2.7530
O 0.5582 9.1270 7.1341
O 1.4093 3.0354 4.3320
O 1.4664 6.1417 9.2215
O 1.8720 6.6498 5.2202
O 1.9103 2.7615 9.8109
O 2.0432 8.8086 4.2200
O 2.0986 0.2904 0.0900
O 2.3858 7.3050 1.7591
O 2.4582 4.9490 2.1298
O 2.6262 7.9509 7.6112
O 2.6118 1.1316 6.8617
O 3.1340 4.7766 7.2285
O 3.1553 1.5698 2.4365
O 4.0628 7.5984 4.7961
O 4.0669 1.6695 9.5581
O 4.6302 4.2783 4.3911
O 4.6736 1.9613 5.1236
O 4.7559 7.4226 9.6493
O 4.8450 4.9505 0.0700
O 5.0883 2.8216 1.6931
O 5.1340 3.6128 7.8087
O 5.2349 5.8165 6.7977
```

The 12 most intense peaks (10 to 90 degrees two-theta), sorted by position:
d [Å]  I/Imax  h k l
4.552  44  0 2 0
4.529  73  1 -1 0
4.152  75  1 1 -1
4.130  72  0 2 -1
3.415  70  0 2 2
3.370  25  0 2 -2
2.633  29  1 3 0
2.625  36  2 0 0
2.614  35  1 -3 0
2.551  100  0 0 4
2.229  26  2 2 1
2.223  27  0 4 1

***

This entry pairs a crystal structure of LiFe8B8O24 with its computed powder diffractogram. Radiation: CuKα. Structure: DFT lattice parameters and positions (PBE+U).
Neutral-atom scattering factors, no anomalous dispersion.

Crystal structure
```
41
Lattice="5.2430 0.0000 0.0000 -0.1992 9.1007 0.0000 -2.4217 -4.4484 10.1399" Properties=species:S:1:pos:R:3 pbc="T T T"
Li 0.0000 0.0000 0.0000
Fe 0.0020 3.1181 0.2964
Fe -0.7231 4.5273 7.8857
Fe -0.0023 6.1402 5.3277
Fe 1.8239 3.0094 2.8072
Fe 2.4477 7.4201 0.2914
Fe 1.9234 0.0336 7.8992
Fe 2.7275 1.5709 5.3218
Fe 4.3549 7.5613 2.7564
B -0.0621 6.0008 0.2760
B -0.7056 -1.4847 7.8807
B 0.1087 3.0714 5.3336
B 1.8998 0.0125 2.7968
B 2.6489 1.4759 0.2711
B 1.8525 3.0452 7.9088
B 2.8470 -1.4789 5.3410
B 4.4181 4.5702 2.8178
O -1.0919 -1.5363 4.8277
O -1.9946 -1.3859 8.4394
O -0.7107 2.0101 5.2602
O 0.0262 3.6043 2.2593
O -0.2452 5.7495 3.2994
O 0.5540 -0.1346 2.6928
O -0.3311 4.2827 5.8922
O -0.3229 -2.7106 7.3189
O 1.2650 5.9309 0.2778
O -0.4148 -4.1071 9.8984
O 0.1300 -0.4375 7.8818
O 1.8202 2.4537 0.8308
O 0.5273 3.1200 8.2966
O 1.4195 3.0205 4.8408
O 1.8112 6.5624 5.3028
O 2.4556 1.1929 3.3195
O 2.7613 -0.9693 2.3348
O 2.4295 -0.2714 5.9169
O 3.0924 4.3616 2.8677
O 4.0116 1.6091 0.2377
O 2.3012 1.8699 7.3091
O 2.0177 0.4343 9.9340
O 4.4675 7.1352 0.7367
O 2.7009 4.0768 8.1790
```

The 12 most intense peaks (10 to 90 degrees two-theta), sorted by position:
d [Å]  I/Imax  h k l
4.586  25  1 -1 0
4.499  93  1 1 -1
4.170  100  0 2 0
4.134  35  1 1 0
3.406  67  1 -1 2
3.395  30  -1 1 2
3.370  41  0 2 -3
2.651  26  1 -3 1
2.621  33  2 0 -1
2.601  28  1 3 -2
2.535  83  0 0 4
1.859  27  0 2 4

***

This entry pairs a crystal structure of LiFe2B2O6 with its computed powder diffractogram. Radiation: CuKα. Structure: DFT lattice parameters and positions (PBE+U).
Neutral-atom scattering factors, no anomalous dispersion.

Crystal structure
```
44
Lattice="5.2098 0.0000 0.0000 0.0568 9.0885 0.0000 0.1667 0.1995 10.2133" Properties=species:S:1:pos:R:3 pbc="T T T"
Li 0.0000 0.0000 0.0000
Li 0.1781 9.1023 5.1891
Li 4.3622 7.6826 2.5967
Li 4.6450 7.7150 7.7398
Fe 0.2248 3.2644 9.8685
Fe 1.7729 0.1920 2.2473
Fe 1.9458 6.1656 7.3365
Fe 2.8304 7.6192 9.9891
Fe 2.7327 1.6487 4.8203
Fe 4.4191 4.5578 2.2832
Fe 4.5937 1.7387 7.3887
Fe 5.2705 6.0453 4.8154
B 0.1568 3.0539 4.7329
B 0.2828 6.2357 9.8893
B 1.8544 6.1285 2.2957
B 2.0064 9.1418 7.2693
B 2.7028 7.7422 4.8305
B 2.7799 1.6724 9.8734
B 4.3574 1.5514 2.1894
B 4.4993 4.7440 7.4191
O 0.4657 6.1320 2.5922
O 0.6184 9.1536 7.2426
O 1.5488 6.1684 9.3422
O 1.4995 3.0312 4.7970
O 1.9782 6.6867 5.3476
O 2.0385 2.8018 9.7906
O 1.9886 8.9102 4.4684
O 2.0158 0.2801 0.0718
O 2.4664 7.3340 1.9302
O 2.6952 7.9961 7.7151
O 2.5958 4.9959 2.3435
O 2.6915 1.1242 6.8135
O 3.1597 4.7665 7.3271
O 3.1388 1.5894 2.8303
O 4.0764 7.7056 4.6528
O 4.1725 1.6754 9.5712
O 4.6407 1.9390 5.1972
O 4.6824 4.1640 4.2491
O 4.8080 7.4368 9.8239
O 4.7664 4.8932 0.2413
O 4.9115 2.7301 1.6928
O 5.0039 0.3384 2.0161
O 5.1781 3.6348 7.9048
O 5.2307 5.8759 6.9912
```

The 12 most intense peaks (10 to 90 degrees two-theta), sorted by position:
d [Å]  I/Imax  h k l
4.537  42  1 1 0
4.507  73  1 -1 0
4.123  100  0 2 -1
4.105  45  1 1 -1
3.429  69  1 1 2
3.362  23  0 2 -2
3.350  24  1 1 -2
2.625  27  1 3 0
2.608  71  1 -3 0
2.553  98  0 0 4
2.225  47  2 2 1
2.201  29  -2 2 1